This entry pairs a crystal structure of HoSeF with its theoretical XRD peak list. Radiation: Cu Kα (weighted mean of Kα1 and Kα2). Structure: DFT lattice parameters and positions (GGA-PBE).

Peak list (6 most intense, 2θ = 10–80°, by angle)
h k l  two_theta  I_rel
2 0 1  22.7  76
0 1 1  25.9  100
1 1 1  27.4  31
4 0 1  38.8  36
2 1 2  40.3  87
4 1 0  42.4  39

Structure:
Unit cell a=9.977 b=4.101 c=6.328 alpha=90.00 beta=90.00 gamma=90.00
Space group Pnma (No. 62)
Unique sites:
Ho1 0.079 0.250 0.235 (multiplicity 4)
Se1 0.166 0.750 0.535 (multiplicity 4)
F1 0.034 0.750 0.092 (multiplicity 4)

This entry pairs a crystal structure of HoZrF7 with its theoretical XRD peak list. Radiation: Cu Kα (weighted mean of Kα1 and Kα2). Structure: DFT lattice parameters and positions (GGA-PBE).

Peak list (6 most intense, 2θ = 10–80°, by angle)
h k l  two_theta  I_rel
1 1 0  21.5  100
0 0 2  22.0  36
1 1 1  25.6  25
0 1 2  27.0  17
1 1 -2  28.5  30
2 2 1  47.0  17

Structure:
Unit cell a=6.113 b=5.701 c=8.283 alpha=90.00 beta=102.24 gamma=90.00
Space group P2_1 (No. 4)
Unique sites:
Ho1 0.154 0.000 0.183 (multiplicity 2)
Zr1 0.312 0.990 0.724 (multiplicity 2)
F1 0.043 0.206 0.714 (multiplicity 2)
F2 0.050 0.313 0.025 (multiplicity 2)
F3 0.120 0.693 0.720 (multiplicity 2)
F4 0.256 0.996 0.473 (multiplicity 2)
F5 0.360 0.988 0.976 (multiplicity 2)
F6 0.419 0.273 0.264 (multiplicity 2)
F7 0.462 0.760 0.262 (multiplicity 2)

This entry pairs a crystal structure of IF7 with its theoretical XRD peak list. Radiation: Cu Kα (weighted mean of Kα1 and Kα2). Structure: DFT lattice parameters and positions (GGA-PBE).

Peak list (6 most intense, 2θ = 10–80°, by angle)
h k l  two_theta  I_rel
1 -1 0  17.2  100
0 1 -1  19.8  48
1 0 -1  20.0  79
0 1 1  20.3  85
1 0 1  20.6  87
0 0 2  26.9  38

Structure:
Unit cell a=6.218 b=6.362 c=6.622 alpha=90.77 beta=91.33 gamma=110.33
Space group P1 (No. 1)
Unique sites:
I1 0.000 0.000 0.000 (multiplicity 1)
I2 0.452 0.343 0.552 (multiplicity 1)
F1 0.023 0.783 0.204 (multiplicity 1)
F2 0.171 0.548 0.029 (multiplicity 1)
F3 0.191 0.394 0.432 (multiplicity 1)
F4 0.279 0.962 0.911 (multiplicity 1)
F5 0.285 0.434 0.879 (multiplicity 1)
F6 0.317 0.035 0.473 (multiplicity 1)
F7 0.491 0.809 0.226 (multiplicity 1)
F8 0.546 0.370 0.285 (multiplicity 1)
F9 0.611 0.654 0.562 (multiplicity 1)
F10 0.687 0.964 0.332 (multiplicity 1)
F11 0.737 0.300 0.601 (multiplicity 1)
F12 0.761 0.736 0.927 (multiplicity 1)
F13 0.768 0.142 0.989 (multiplicity 1)
F14 0.988 0.037 0.716 (multiplicity 1)

This entry pairs a crystal structure of IF7 with its theoretical XRD peak list. Radiation: Cu Kα (weighted mean of Kα1 and Kα2). Structure: DFT lattice parameters and positions (GGA-PBE).

Peak list (6 most intense, 2θ = 10–80°, by angle)
h k l  two_theta  I_rel
1 1 1  20.1  100
0 2 0  22.8  21
0 0 2  23.4  25
2 0 0  23.6  17
1 3 1  38.5  12
1 1 3  39.3  14

Structure:
Unit cell a=7.538 b=7.803 c=7.596 alpha=90.00 beta=90.00 gamma=90.00
Space group P222_1 (No. 17)
Unique sites:
I1 0.233 0.000 0.000 (multiplicity 2)
I2 0.234 0.500 0.500 (multiplicity 2)
F1 0.031 0.119 0.915 (multiplicity 4)
F2 0.032 0.384 0.413 (multiplicity 4)
F3 0.253 0.456 0.740 (multiplicity 4)
F4 0.257 0.028 0.241 (multiplicity 4)
F5 0.294 0.233 0.001 (multiplicity 4)
F6 0.297 0.266 0.487 (multiplicity 4)
F7 0.482 0.000 0.000 (multiplicity 2)
F8 0.484 0.500 0.500 (multiplicity 2)

This entry pairs a crystal structure of IF7 with its theoretical XRD peak list. Radiation: Cu Kα (weighted mean of Kα1 and Kα2). Structure: DFT lattice parameters and positions (GGA-PBE).

Peak list (6 most intense, 2θ = 10–80°, by angle)
h k l  two_theta  I_rel
2 0 0  18.7  34
1 1 1  20.1  100
0 2 0  21.4  20
2 2 0  28.6  29
1 1 3  45.8  13
3 3 1  45.9  13

Structure:
Unit cell a=9.491 b=8.297 c=6.264 alpha=90.00 beta=90.00 gamma=90.00
Space group Aea2 (No. 41)
Unique sites:
I1 0.000 0.000 0.000 (multiplicity 4)
F1 0.000 0.000 0.699 (multiplicity 4)
F2 0.095 0.193 0.924 (multiplicity 8)
F3 0.106 0.064 0.246 (multiplicity 8)
F4 0.158 0.369 0.474 (multiplicity 8)

This entry pairs a crystal structure of IF7 with its theoretical XRD peak list. Radiation: Cu Kα (weighted mean of Kα1 and Kα2). Structure: DFT lattice parameters and positions (GGA-PBE).

Peak list (6 most intense, 2θ = 10–80°, by angle)
h k l  two_theta  I_rel
2 0 0  18.1  28
1 1 1  18.8  100
0 2 0  20.1  20
2 2 0  27.2  17
2 0 2  32.0  13
3 3 1  43.5  12

Structure:
Unit cell a=9.788 b=8.837 c=6.828 alpha=90.00 beta=90.00 gamma=90.00
Space group Aea2 (No. 41)
Unique sites:
I1 0.000 0.000 0.000 (multiplicity 4)
F1 0.000 0.000 0.721 (multiplicity 4)
F2 0.084 0.087 0.225 (multiplicity 8)
F3 0.105 0.326 0.498 (multiplicity 8)
F4 0.161 0.102 0.916 (multiplicity 8)

This entry pairs a crystal structure of MgI8O12F24 with its theoretical XRD peak list. Radiation: Cu Kα (weighted mean of Kα1 and Kα2). Structure: DFT lattice parameters and positions (GGA-PBE).

Peak list (6 most intense, 2θ = 10–80°, by angle)
h k l  two_theta  I_rel
0 2 1  18.6  95
1 1 -1  19.3  95
2 0 1  21.6  100
1 0 -2  21.8  95
2 -1 0  22.0  47
1 2 0  22.5  48

Structure:
Unit cell a=9.190 b=9.547 c=10.048 alpha=65.49 beta=88.75 gamma=88.82
Space group P1 (No. 1)
Unique sites:
Mg1 0.000 0.000 0.000 (multiplicity 1)
I1 0.165 0.386 0.454 (multiplicity 1)
I2 0.308 0.479 0.067 (multiplicity 1)
I3 0.350 0.973 0.065 (multiplicity 1)
I4 0.516 0.897 0.435 (multiplicity 1)
I5 0.666 0.214 0.811 (multiplicity 1)
I6 0.804 0.144 0.174 (multiplicity 1)
I7 0.848 0.612 0.233 (multiplicity 1)
I8 0.989 0.721 0.833 (multiplicity 1)
O1 0.042 0.555 0.375 (multiplicity 1)
O2 0.093 0.546 0.930 (multiplicity 1)
O3 0.199 0.352 0.290 (multiplicity 1)
O4 0.303 0.655 0.084 (multiplicity 1)
O5 0.332 0.145 0.092 (multiplicity 1)
O6 0.475 0.838 0.291 (multiplicity 1)
O7 0.504 0.019 0.933 (multiplicity 1)
O8 0.618 0.074 0.325 (multiplicity 1)
O9 0.690 0.255 0.991 (multiplicity 1)
O10 0.814 0.970 0.143 (multiplicity 1)
O11 0.868 0.447 0.197 (multiplicity 1)
O12 0.962 0.781 0.984 (multiplicity 1)
F1 0.000 0.685 0.663 (multiplicity 1)
F2 0.013 0.245 0.515 (multiplicity 1)
F3 0.125 0.894 0.165 (multiplicity 1)
F4 0.142 0.399 0.634 (multiplicity 1)
F5 0.153 0.846 0.759 (multiplicity 1)
F6 0.201 0.047 0.899 (multiplicity 1)
F7 0.287 0.220 0.561 (multiplicity 1)
F8 0.328 0.511 0.425 (multiplicity 1)
F9 0.343 0.009 0.420 (multiplicity 1)
F10 0.415 0.554 0.888 (multiplicity 1)
F11 0.416 0.727 0.571 (multiplicity 1)
F12 0.487 0.407 0.165 (multiplicity 1)
F13 0.498 0.341 0.777 (multiplicity 1)
F14 0.550 0.935 0.601 (multiplicity 1)
F15 0.636 0.227 0.614 (multiplicity 1)
F16 0.670 0.681 0.130 (multiplicity 1)
F17 0.686 0.773 0.490 (multiplicity 1)
F18 0.734 0.524 0.405 (multiplicity 1)
F19 0.767 0.401 0.715 (multiplicity 1)
F20 0.811 0.619 0.871 (multiplicity 1)
F21 0.882 0.895 0.711 (multiplicity 1)
F22 0.893 0.123 0.827 (multiplicity 1)
F23 0.933 0.049 0.341 (multiplicity 1)
F24 0.987 0.203 0.053 (multiplicity 1)

This entry pairs a crystal structure of MgI8O12F24 with its theoretical XRD peak list. Radiation: Cu Kα (weighted mean of Kα1 and Kα2). Structure: DFT lattice parameters and positions (GGA-PBE).

Peak list (6 most intense, 2θ = 10–80°, by angle)
h k l  two_theta  I_rel
0 2 1  18.3  79
1 1 -1  19.7  46
-1 2 1  21.1  55
2 0 -1  22.6  48
1 2 0  22.8  100
1 -2 0  22.9  50

Structure:
Unit cell a=8.760 b=9.696 c=10.195 alpha=63.92 beta=89.17 gamma=89.33
Space group P1 (No. 1)
Unique sites:
Mg1 0.000 0.000 0.000 (multiplicity 1)
I1 0.124 0.444 0.906 (multiplicity 1)
I2 0.256 0.533 0.517 (multiplicity 1)
I3 0.291 0.022 0.524 (multiplicity 1)
I4 0.425 0.944 0.904 (multiplicity 1)
I5 0.620 0.264 0.283 (multiplicity 1)
I6 0.743 0.200 0.645 (multiplicity 1)
I7 0.795 0.681 0.663 (multiplicity 1)
I8 0.919 0.751 0.289 (multiplicity 1)
O1 0.006 0.615 0.821 (multiplicity 1)
O2 0.054 0.584 0.389 (multiplicity 1)
O3 0.150 0.396 0.754 (multiplicity 1)
O4 0.254 0.706 0.535 (multiplicity 1)
O5 0.294 0.198 0.534 (multiplicity 1)
O6 0.397 0.898 0.751 (multiplicity 1)
O7 0.510 0.090 0.370 (multiplicity 1)
O8 0.523 0.126 0.810 (multiplicity 1)
O9 0.633 0.308 0.445 (multiplicity 1)
O10 0.745 0.016 0.652 (multiplicity 1)
O11 0.798 0.501 0.660 (multiplicity 1)
O12 0.896 0.804 0.444 (multiplicity 1)
F1 0.101 0.953 0.625 (multiplicity 1)
F2 0.105 0.908 0.198 (multiplicity 1)
F3 0.111 0.460 0.084 (multiplicity 1)
F4 0.178 0.096 0.348 (multiplicity 1)
F5 0.222 0.042 0.882 (multiplicity 1)
F6 0.243 0.269 0.022 (multiplicity 1)
F7 0.307 0.553 0.874 (multiplicity 1)
F8 0.317 0.766 0.023 (multiplicity 1)
F9 0.367 0.608 0.338 (multiplicity 1)
F10 0.430 0.967 0.077 (multiplicity 1)
F11 0.451 0.396 0.219 (multiplicity 1)
F12 0.452 0.464 0.612 (multiplicity 1)
F13 0.601 0.824 0.968 (multiplicity 1)
F14 0.606 0.757 0.565 (multiplicity 1)
F15 0.616 0.253 0.105 (multiplicity 1)
F16 0.675 0.610 0.839 (multiplicity 1)
F17 0.733 0.625 0.348 (multiplicity 1)
F18 0.737 0.440 0.178 (multiplicity 1)
F19 0.806 0.159 0.320 (multiplicity 1)
F20 0.826 0.985 0.129 (multiplicity 1)
F21 0.887 0.134 0.819 (multiplicity 1)
F22 0.929 0.269 0.539 (multiplicity 1)
F23 0.959 0.303 0.982 (multiplicity 1)
F24 0.970 0.794 0.035 (multiplicity 1)

This entry pairs a crystal structure of IOF3 with its theoretical XRD peak list. Radiation: Cu Kα (weighted mean of Kα1 and Kα2). Structure: DFT lattice parameters and positions (GGA-PBE).

Peak list (6 most intense, 2θ = 10–80°, by angle)
h k l  two_theta  I_rel
0 1 1  17.4  23
1 1 0  21.7  59
1 0 2  22.7  100
1 1 1  23.3  17
1 2 2  38.7  18
2 1 3  43.3  24

Structure:
Unit cell a=5.777 b=5.804 c=10.626 alpha=90.00 beta=90.00 gamma=90.00
Space group P2_12_12_1 (No. 19)
Unique sites:
I1 0.178 0.070 0.099 (multiplicity 4)
O1 0.175 0.692 0.531 (multiplicity 4)
F1 0.040 0.270 0.230 (multiplicity 4)
F2 0.104 0.997 0.726 (multiplicity 4)
F3 0.144 0.153 0.501 (multiplicity 4)